The following is a calculated powder XRD pattern of Th2Ga6Co9. It was derived from a PBE-relaxed structure, using Cu Ka.

Most intense lines, 2θ = 10–80°, in order of falling intensity:
| 2θ/deg | I (rel.) |
| --- | --- |
| 25.01 | 100 |
| 46.64 | 80 |
| 51.32 | 57 |
| 34.49 | 56 |
| 15.24 | 50 |
| 40.03 | 47 |
| 37.90 | 34 |
| 36.80 | 34 |
| 41.83 | 33 |
| 74.13 | 29 |
| 72.72 | 26 |
| 43.07 | 24 |

Cell lengths 5.2013, 5.2013, 11.6280 Å; angles 90.00, 90.00, 120.00 degrees
Positions (direct):
Th 0.0000 0.0000 0.2342
Th 0.0000 0.0000 0.7658
Ga 0.3333 0.6667 0.0000
Ga 0.3333 0.6667 0.3346
Ga 0.3333 0.6667 0.6654
Ga 0.6667 0.3333 0.0000
Ga 0.6667 0.3333 0.3346
Ga 0.6667 0.3333 0.6654
Co 0.0000 0.5000 0.1659
Co 0.0000 0.5000 0.5000
Co 0.0000 0.5000 0.8341
Co 0.5000 0.0000 0.1659
Co 0.5000 0.0000 0.5000
Co 0.5000 0.0000 0.8341
Co 0.5000 0.5000 0.1659
Co 0.5000 0.5000 0.5000
Co 0.5000 0.5000 0.8341